1.
Fe4AgAsXe2F6: computed XRD peak list (CuKα), based on the PBE+U geometry in the Materials Project.

Atomic structure:
Cell lengths 13.060, 13.060, 13.060 Å; angles 147.56, 147.56, 46.53 degrees
Fractional coordinates of all 28 atoms:
Fe 0.276 0.178 0.275
Fe 0.322 0.224 0.725
Fe 0.402 0.678 0.902
Fe 0.499 0.598 0.275
Fe 0.776 0.501 0.098
Fe 0.822 0.098 0.098
Fe 0.902 0.001 0.725
Fe 0.999 0.724 0.902
Ag 0.000 0.500 0.500
Ag 0.500 0.000 0.500
As 0.000 0.000 0.000
As 0.500 0.500 0.000
Xe 0.025 0.025 0.550
Xe 0.475 0.475 0.450
Xe 0.525 0.975 0.000
Xe 0.975 0.525 0.000
F 0.043 0.242 0.481
F 0.144 0.144 0.000
F 0.258 0.457 0.519
F 0.261 0.742 0.198
F 0.356 0.356 0.000
F 0.438 0.957 0.198
F 0.543 0.062 0.802
F 0.644 0.644 0.000
F 0.758 0.239 0.802
F 0.761 0.562 0.519
F 0.856 0.856 0.000
F 0.938 0.739 0.481

The 12 most intense peaks (5° ≤ 2θ ≤ 70°), by angle:
Position (°2θ)  I/Imax
14.77  19
22.23  23
25.52  100
27.59  21
29.79  17
33.24  82
34.78  19
37.97  35
45.23  15
46.43  23
52.44  17
56.97  19



2.
Eu2CoTe2S2O14: computed XRD peak list (CuKα), based on the PBE+U geometry in the Materials Project.

Atomic structure:
Cell lengths 5.304, 8.063, 8.346 Å; angles 63.40, 73.81, 86.40 degrees
Fractional coordinates of all 21 atoms:
Eu 0.091 0.254 0.010
Eu 0.909 0.746 0.990
Co 0.000 0.000 0.500
Te 0.480 0.735 0.646
Te 0.520 0.265 0.354
S 0.230 0.754 0.256
S 0.770 0.246 0.744
O 0.093 0.594 0.266
O 0.123 0.777 0.430
O 0.182 0.922 0.091
O 0.247 0.932 0.648
O 0.267 0.573 0.886
O 0.268 0.174 0.279
O 0.485 0.272 0.770
O 0.515 0.728 0.230
O 0.732 0.826 0.721
O 0.733 0.427 0.114
O 0.753 0.068 0.352
O 0.818 0.078 0.909
O 0.877 0.223 0.570
O 0.907 0.406 0.734

The 12 most intense peaks (5° ≤ 2θ ≤ 70°), by angle:
Position (°2θ)  I/Imax
12.95  40
22.19  35
23.82  27
24.22  100
24.77  80
26.11  27
27.23  27
29.39  50
30.23  26
33.04  27
34.44  38
36.73  30



3.
Ca2ZrVO6: computed XRD peak list (CuKα), based on the PBE+U geometry in the Materials Project.

Atomic structure:
Cell lengths 5.653, 5.653, 5.653 Å; angles 60.00, 60.00, 60.00 degrees
Fractional coordinates of all 10 atoms:
Ca 0.250 0.250 0.250
Ca 0.750 0.750 0.750
Zr 0.000 0.000 0.000
V 0.500 0.500 0.500
O 0.260 0.260 0.740
O 0.260 0.740 0.260
O 0.260 0.740 0.740
O 0.740 0.260 0.260
O 0.740 0.260 0.740
O 0.740 0.740 0.260

The 12 most intense peaks (5° ≤ 2θ ≤ 70°), by angle:
Position (°2θ)  I/Imax
19.23  8
22.24  29
31.66  100
37.31  7
39.03  1
45.38  47
49.71  4
51.10  10
56.38  36
60.14  2
66.12  26
69.57  2



4.
MgCoP2O7: computed XRD peak list (CuKα), based on the PBE+U geometry in the Materials Project.

Atomic structure:
Cell lengths 4.554, 5.319, 5.333 Å; angles 104.00, 98.26, 98.38 degrees
Fractional coordinates of all 11 atoms:
Mg 0.000 0.000 0.000
Co 0.005 0.378 0.626
P 0.410 0.904 0.528
P 0.597 0.466 0.094
O 0.224 0.763 0.690
O 0.225 0.060 0.380
O 0.291 0.305 0.934
O 0.504 0.681 0.316
O 0.714 0.065 0.690
O 0.781 0.303 0.235
O 0.783 0.615 0.939

The 12 most intense peaks (5° ≤ 2θ ≤ 70°), by angle:
Position (°2θ)  I/Imax
17.47  26
29.14  56
29.33  100
30.47  63
35.02  17
35.41  10
43.97  14
44.06  19
49.30  17
57.47  12
57.62  11
66.89  10



5.
Sr2NiBiO6: computed XRD peak list (CuKα), based on the PBE+U geometry in the Materials Project.

Atomic structure:
Cell lengths 5.772, 5.772, 5.772 Å; angles 60.00, 60.00, 60.00 degrees
Fractional coordinates of all 10 atoms:
Sr 0.250 0.250 0.250
Sr 0.750 0.750 0.750
Ni 0.000 0.000 0.000
Bi 0.500 0.500 0.500
O 0.243 0.243 0.757
O 0.243 0.757 0.243
O 0.243 0.757 0.757
O 0.757 0.243 0.243
O 0.757 0.243 0.757
O 0.757 0.757 0.243

The 12 most intense peaks (5° ≤ 2θ ≤ 70°), by angle:
Position (°2θ)  I/Imax
18.83  23
21.78  12
30.99  100
36.51  15
44.39  32
48.62  8
49.97  5
55.12  40
58.78  5
64.59  19
67.94  5
69.04  2



6.
LiMn2O4: computed XRD peak list (CuKα), based on the PBE+U geometry in the Materials Project.

Atomic structure:
Cell lengths 6.049, 8.225, 10.235 Å; angles 113.69, 104.10, 90.50 degrees
Fractional coordinates of all 42 atoms:
Li 0.000 0.000 0.000
Li 0.135 0.411 0.327
Li 0.333 0.330 0.668
Li 0.474 0.746 0.993
Li 0.656 0.664 0.333
Li 0.808 0.077 0.662
Mn 0.062 0.706 0.161
Mn 0.070 0.705 0.665
Mn 0.229 0.869 0.496
Mn 0.240 0.373 0.998
Mn 0.392 0.036 0.325
Mn 0.407 0.038 0.830
Mn 0.567 0.206 0.164
Mn 0.571 0.707 0.668
Mn 0.732 0.370 0.499
Mn 0.740 0.373 0.002
Mn 0.892 0.035 0.325
Mn 0.909 0.539 0.832
O 0.048 0.460 0.143
O 0.059 0.472 0.677
O 0.078 0.936 0.658
O 0.086 0.950 0.180
O 0.199 0.607 0.993
O 0.223 0.638 0.509
O 0.237 0.100 0.480
O 0.279 0.139 0.004
O 0.357 0.792 0.316
O 0.376 0.786 0.807
O 0.406 0.267 0.318
O 0.436 0.295 0.860
O 0.550 0.975 0.170
O 0.552 0.943 0.672
O 0.582 0.436 0.156
O 0.615 0.472 0.677
O 0.696 0.115 0.469
O 0.731 0.146 0.013
O 0.760 0.620 0.523
O 0.770 0.614 0.001
O 0.856 0.271 0.324
O 0.894 0.310 0.845
O 0.908 0.795 0.312
O 0.919 0.768 0.823

The 12 most intense peaks (5° ≤ 2θ ≤ 70°), by angle:
Position (°2θ)  I/Imax
18.15  40
18.28  100
34.32  14
35.79  20
36.00  10
41.18  29
43.62  25
44.04  24
61.40  8
61.63  15
63.57  8
63.87  10